1.
Structure and theoretical powder XRD pattern of InN3F (a GGA-PBE-relaxed structure; Cu Kα (weighted mean of Kα1 and Kα2)).
Lines closer than 0.1° are merged.

Atomic structure:
```
InN3F
1.0
4.289 0.000 0.000
0.000 4.289 0.000
0.000 0.000 4.289
In N F
1 3 1
direct
0.000 0.000 0.000
0.000 0.000 0.500
0.000 0.500 0.000
0.500 0.000 0.000
0.500 0.500 0.500
```

Top 9 peaks for 5 to 70 degrees two-theta, most intense first:
Position (°2θ), d_spacing, Rel. int.
29.45, 3.033, 100
20.71, 4.289, 98
47.39, 1.918, 42
52.24, 1.751, 39
42.14, 2.145, 37
61.11, 1.516, 21
65.26, 1.430, 20
69.28, 1.356, 16
36.28, 2.476, 8

2.
Structure and theoretical powder XRD pattern of AcCe4Os4 (a GGA-PBE-relaxed structure; Cu Kα (weighted mean of Kα1 and Kα2)).
Lines closer than 0.1° are merged.

Atomic structure:
```
AcCe4Os4
1.0
9.122 0.000 0.000
0.000 9.122 0.000
0.000 0.000 5.573
Ac Ce Os
2 8 8
direct
0.250 0.250 0.250
0.750 0.750 0.750
0.076 0.650 0.183
0.150 0.924 0.683
0.350 0.576 0.683
0.424 0.850 0.183
0.576 0.150 0.817
0.650 0.424 0.317
0.850 0.076 0.317
0.924 0.350 0.817
0.055 0.607 0.670
0.107 0.945 0.170
0.393 0.555 0.170
0.445 0.893 0.670
0.555 0.107 0.330
0.607 0.445 0.830
0.893 0.055 0.830
0.945 0.393 0.330
```

Top 10 peaks for 5 to 70 degrees two-theta, most intense first:
Position (°2θ), d_spacing, Rel. int.
31.00, 2.885, 100
44.06, 2.055, 48
45.24, 2.004, 32
44.41, 2.040, 29
33.63, 2.665, 28
39.12, 2.303, 26
32.12, 2.787, 24
27.09, 3.292, 22
18.66, 4.756, 18
48.61, 1.873, 15